Gd2CoGe4Pt: computed PXRD pattern (Cu Kα (λ = 1.5418 Å)), based on DFT lattice parameters and positions (PBE).
Intensities are scaled so that the largest is 100.

Largest 10 diffraction maxima, in order of rising 2θ, 10 to 90 degrees two-theta:
- 8.477 Å, 10.44 deg, rel. 24, (0 0 2)
- 2.950 Å, 30.30 deg, rel. 52, (1 1 1)
- 2.647 Å, 33.87 deg, rel. 100, (1 1 3)
- 2.631 Å, 34.08 deg, rel. 62, (0 1 5)
- 2.362 Å, 38.09 deg, rel. 35, (1 0 6)
- 2.153 Å, 41.97 deg, rel. 41, (2 0 0)
- 2.085 Å, 43.40 deg, rel. 39, (0 2 0)
- 1.717 Å, 53.37 deg, rel. 25, (0 1 9)
- 1.666 Å, 55.12 deg, rel. 31, (2 1 5)
- 1.498 Å, 61.96 deg, rel. 26, (2 2 0)

Atomic structure:
```
data_Gd2CoGe4Pt
_symmetry_space_group_name_H-M 'A m m 2'
_symmetry_Int_Tables_number 38
_cell_length_a 4.306
_cell_length_b 4.170
_cell_length_c 16.954
_cell_angle_alpha 90.00
_cell_angle_beta 90.00
_cell_angle_gamma 90.00
loop_
_symmetry_equiv_pos_as_xyz
'x,y,z'
'-x,-y,z'
'-x,y,z'
'x,-y,z'
'x,y+1/2,z+1/2'
'-x,-y+1/2,z+1/2'
'-x,y+1/2,z+1/2'
'x,-y+1/2,z+1/2'
loop_
_atom_site_label
_atom_site_fract_x
_atom_site_fract_y
_atom_site_fract_z
Gd1 0.000 0.000 0.000
Gd2 0.500 0.000 0.212
Co1 0.500 0.000 0.427
Ge1 0.000 0.000 0.367
Ge2 0.000 0.000 0.639
Ge3 0.500 0.000 0.562
Ge4 0.500 0.000 0.863
Pt1 0.000 0.000 0.783
```